No. 1
# Nd4Co2Cl5
Calculated powder XRD pattern, Cu Kα, 1.54184 Å. Input: a crystal structure in Alexandria, relaxed with PBE.
Kinematic intensities with the Lorentz-polarization factor, no thermal factor.

Main lines, sorted by position (15° ≤ 2θ ≤ 90°):
2θ/deg, I (rel.)
24.67, 29
26.55, 39
29.35, 30
31.68, 100
40.08, 76
47.12, 24

Crystal structure
abc: 10.1916 10.1916 10.1916
angles: 157.20 133.07 52.79
Sites, in units of the cell vectors:
Nd1 0.1883 0.1883 0.0000
Nd2 0.2212 0.5000 0.7212
Nd3 0.7788 0.5000 0.2788
Nd4 0.8117 0.8117 0.0000
Co1 0.0576 0.0576 0.0000
Co2 0.9424 0.9424 0.0000
Cl1 0.0880 0.3269 0.7611
Cl2 0.4342 0.6731 0.7611
Cl3 0.5000 0.0000 0.5000
Cl4 0.5658 0.3269 0.2389
Cl5 0.9120 0.6731 0.2389

=====

No. 2
# Nd3CoCl3
Calculated powder XRD pattern, Cu Kα, 1.54184 Å. Input: a crystal structure in Alexandria, relaxed with PBE.
Kinematic intensities with the Lorentz-polarization factor, no thermal factor.

Main lines, sorted by position (15° ≤ 2θ ≤ 90°):
2θ/deg, I (rel.)
26.62, 34
28.80, 20
30.83, 100
44.17, 68
54.83, 22
72.95, 25

Crystal structure
abc: 10.0453 10.0453 10.0453
angles: 109.47 109.47 109.47
Sites, in units of the cell vectors:
Nd1 0.0136 0.0273 0.2636
Nd2 0.0136 0.4864 0.7500
Nd3 0.0273 0.2636 0.0136
Nd4 0.2364 0.2636 0.7500
Nd5 0.2364 0.4727 0.4864
Nd6 0.2636 0.0136 0.0273
Nd7 0.2636 0.7500 0.2364
Nd8 0.4727 0.4864 0.2364
Nd9 0.4864 0.2364 0.4727
Nd10 0.4864 0.7500 0.0136
Nd11 0.7500 0.0136 0.4864
Nd12 0.7500 0.2364 0.2636
Co1 0.0000 0.2500 0.5000
Co2 0.2500 0.2500 0.2500
Co3 0.2500 0.5000 0.0000
Co4 0.5000 0.0000 0.2500
Cl1 0.2500 0.7529 0.7471
Cl2 0.2500 0.9971 0.5029
Cl3 0.5029 0.2500 0.9971
Cl4 0.5029 0.7529 0.5058
Cl5 0.5058 0.5029 0.7529
Cl6 0.7471 0.2500 0.7529
Cl7 0.7471 0.9971 0.9942
Cl8 0.7529 0.5058 0.5029
Cl9 0.7529 0.7471 0.2500
Cl10 0.9942 0.7471 0.9971
Cl11 0.9971 0.5029 0.2500
Cl12 0.9971 0.9942 0.7471

=====

No. 3
# Nd8Co3PdCl4
Calculated powder XRD pattern, Cu Kα, 1.54184 Å. Input: a crystal structure in Alexandria, relaxed with PBE.
Kinematic intensities with the Lorentz-polarization factor, no thermal factor.

Main lines, sorted by position (15° ≤ 2θ ≤ 90°):
2θ/deg, I (rel.)
26.77, 28
30.13, 100
38.00, 19
41.14, 29
45.05, 36
55.16, 17

Crystal structure
abc: 8.0494 8.0494 8.8501
angles: 117.05 117.05 59.99
Sites, in units of the cell vectors:
Nd1 0.2202 0.7425 0.7032
Nd2 0.2340 0.2340 0.7017
Nd3 0.2574 0.2574 0.2980
Nd4 0.2575 0.7798 0.2968
Nd5 0.7425 0.2202 0.7032
Nd6 0.7426 0.7426 0.7020
Nd7 0.7660 0.7660 0.2983
Nd8 0.7798 0.2575 0.2968
Co1 0.0000 0.0000 0.5000
Co2 0.0000 0.5000 0.5000
Co3 0.5000 0.0000 0.5000
Pd1 0.5000 0.5000 0.5000
Cl1 0.0000 0.0000 0.0000
Cl2 0.0000 0.5000 0.0000
Cl3 0.5000 0.0000 0.0000
Cl4 0.5000 0.5000 0.0000